Record 1
For KFePCO7, DFT lattice parameters and positions (GGA+U) gives the computed PXRD pattern in this record (CuKα).

```
data_KFePCO7
_cell_length_a 5.4459
_cell_length_b 6.4392
_cell_length_c 10.0312
_cell_angle_alpha 90.00
_cell_angle_beta 91.26
_cell_angle_gamma 90.00
_space_group_name_H-M_alt 'P 1'
_space_group_IT_number 1
loop_
_space_group_symop_operation_xyz
'x,y,z'
loop_
_atom_site_label
_atom_site_type_symbol
_atom_site_fract_x
_atom_site_fract_y
_atom_site_fract_z
K1 K 0.2471 0.0000 0.2585
K2 K 0.7529 0.5000 0.7415
Fe1 Fe 0.2197 0.8528 0.8624
Fe2 Fe 0.7803 0.3528 0.1376
P1 P 0.2730 0.3462 0.9398
P2 P 0.7270 0.8462 0.0602
C1 C 0.2796 0.8235 0.6101
C2 C 0.7204 0.3235 0.3899
O1 O 0.0629 0.8317 0.6605
O2 O 0.1070 0.3406 0.0629
O3 O 0.2219 0.1561 0.8493
O4 O 0.2251 0.5387 0.8506
O5 O 0.3159 0.7988 0.4879
O6 O 0.4529 0.8451 0.0127
O7 O 0.4586 0.8400 0.6974
O8 O 0.5414 0.3400 0.3026
O9 O 0.5471 0.3451 0.9873
O10 O 0.6841 0.2988 0.5121
O11 O 0.7749 0.0387 0.1494
O12 O 0.7781 0.6561 0.1507
O13 O 0.8930 0.8406 0.9371
O14 O 0.9371 0.3317 0.3395
```

Most intense lines, 2θ from 10° to 80°, in order of rising 2θ:
| hkl | two_theta | d (Å) | I_rel |
| --- | --- | --- | --- |
| 0 1 1 | 16.36 | 5.418 | 91 |
| 1 1 0 | 21.37 | 4.158 | 89 |
| 1 0 -2 | 23.86 | 3.730 | 65 |
| 0 2 0 | 27.70 | 3.221 | 100 |
| 1 1 2 | 28.11 | 3.174 | 44 |
| 2 0 0 | 32.90 | 2.722 | 45 |

---

Record 2
For K2FePCO7, DFT lattice parameters and positions (GGA+U) gives the computed PXRD pattern in this record (CuKα).

```
data_K2FePCO7
_cell_length_a 5.5808
_cell_length_b 6.8373
_cell_length_c 9.6707
_cell_angle_alpha 90.00
_cell_angle_beta 91.37
_cell_angle_gamma 90.00
_space_group_name_H-M_alt 'P 1'
_space_group_IT_number 1
loop_
_space_group_symop_operation_xyz
'x,y,z'
loop_
_atom_site_label
_atom_site_type_symbol
_atom_site_fract_x
_atom_site_fract_y
_atom_site_fract_z
K1 K 0.2448 0.0209 0.2426
K2 K 0.2448 0.4791 0.2426
K3 K 0.7552 0.5209 0.7574
K4 K 0.7552 0.9791 0.7574
Fe1 Fe 0.2306 0.2500 0.6406
Fe2 Fe 0.7694 0.7500 0.3594
P1 P 0.2813 0.7500 0.5673
P2 P 0.7187 0.2500 0.4327
C1 C 0.2694 0.2500 0.9014
C2 C 0.7306 0.7500 0.0986
O1 O 0.0619 0.2500 0.8326
O2 O 0.1043 0.7500 0.4395
O3 O 0.2445 0.5631 0.6549
O4 O 0.2445 0.9369 0.6549
O5 O 0.2917 0.2500 0.0299
O6 O 0.4523 0.2500 0.8161
O7 O 0.4534 0.2500 0.4851
O8 O 0.5466 0.7500 0.5149
O9 O 0.5477 0.7500 0.1839
O10 O 0.7083 0.7500 0.9701
O11 O 0.7555 0.0631 0.3451
O12 O 0.7555 0.4369 0.3451
O13 O 0.8957 0.2500 0.5605
O14 O 0.9381 0.7500 0.1674
```

Most intense lines, 2θ from 10° to 80°, in order of rising 2θ:
| hkl | two_theta | d (Å) | I_rel |
| --- | --- | --- | --- |
| 0 1 1 | 15.88 | 5.582 | 48 |
| 1 1 0 | 20.55 | 4.323 | 36 |
| 1 0 2 | 24.65 | 3.611 | 42 |
| 1 2 -1 | 31.96 | 2.801 | 49 |
| 2 0 0 | 32.08 | 2.790 | 100 |
| 1 2 1 | 32.18 | 2.781 | 50 |

---

Record 3
For Na2LiFePCO7, DFT lattice parameters and positions (GGA+U) gives the computed PXRD pattern in this record (CuKα).

```
data_Na2LiFePCO7
_cell_length_a 6.6756
_cell_length_b 8.8436
_cell_length_c 10.3351
_cell_angle_alpha 91.98
_cell_angle_beta 90.26
_cell_angle_gamma 91.11
_space_group_name_H-M_alt 'P 1'
_space_group_IT_number 1
loop_
_space_group_symop_operation_xyz
'x,y,z'
loop_
_atom_site_label
_atom_site_type_symbol
_atom_site_fract_x
_atom_site_fract_y
_atom_site_fract_z
Na1 Na 0.0000 0.0000 0.0000
Na2 Na 0.0008 0.5221 0.7467
Na3 Na 0.0027 0.0025 0.5007
Na4 Na 0.0068 0.5213 0.2496
Na5 Na 0.4975 0.5217 0.2502
Na6 Na 0.5027 0.9986 0.0009
Na7 Na 0.7381 0.1808 0.7524
Na8 Na 0.7480 0.1786 0.2544
Li1 Li 0.2567 0.3620 0.9934
Li2 Li 0.2790 0.3522 0.5028
Li3 Li 0.4705 0.5432 0.7584
Li4 Li 0.5324 0.9784 0.4872
Fe1 Fe 0.2493 0.9135 0.7611
Fe2 Fe 0.2570 0.9090 0.2689
Fe3 Fe 0.7437 0.6110 0.9809
Fe4 Fe 0.7490 0.6095 0.4876
P1 P 0.2474 0.6715 0.0168
P2 P 0.2595 0.6717 0.5239
P3 P 0.7372 0.8469 0.7251
P4 P 0.7546 0.8465 0.2328
C1 C 0.2535 0.2112 0.2314
C2 C 0.2609 0.2203 0.7359
C3 C 0.7425 0.3124 0.5095
C4 C 0.7486 0.3194 0.0102
O1 O 0.0576 0.5732 0.9805
O2 O 0.0645 0.5826 0.4845
O3 O 0.2471 0.3480 0.1908
O4 O 0.2466 0.8258 0.9519
O5 O 0.2511 0.1145 0.6446
O6 O 0.2532 0.1828 0.3542
O7 O 0.2529 0.1832 0.8568
O8 O 0.2580 0.6968 0.1666
O9 O 0.2610 0.0988 0.1459
O10 O 0.2692 0.6936 0.6746
O11 O 0.2738 0.8300 0.4629
O12 O 0.2784 0.3608 0.7036
O13 O 0.4263 0.5713 0.9695
O14 O 0.4331 0.5665 0.4794
O15 O 0.5615 0.9472 0.7731
O16 O 0.5721 0.9416 0.2811
O17 O 0.7260 0.8295 0.5739
O18 O 0.7266 0.1663 0.5151
O19 O 0.7270 0.6876 0.7832
O20 O 0.7414 0.4084 0.1134
O21 O 0.7452 0.8246 0.0823
O22 O 0.7469 0.3803 0.8974
O23 O 0.7485 0.3778 0.3982
O24 O 0.7529 0.3981 0.6141
O25 O 0.7566 0.1747 0.0203
O26 O 0.7568 0.6912 0.2953
O27 O 0.9342 0.9354 0.7637
O28 O 0.9448 0.9442 0.2703
```

Most intense lines, 2θ from 10° to 80°, in order of rising 2θ:
| hkl | two_theta | d (Å) | I_rel |
| --- | --- | --- | --- |
| 0 1 0 | 10.01 | 8.837 | 100 |
| 0 2 -2 | 26.08 | 3.416 | 32 |
| 2 0 0 | 26.71 | 3.337 | 88 |
| 2 -2 0 | 33.30 | 2.691 | 41 |
| 2 2 0 | 33.98 | 2.639 | 33 |
| 0 0 4 | 34.74 | 2.582 | 53 |